(1)
# ZnFeGe2O6
Theoretical powder diffractogram, Cu Ka. Input: a DFT-relaxed cell (PBE+U, the Materials Project).

Most intense lines, 2θ from 10° to 90°, low angle first:
d 3.485, I 52; d 3.371, I 61; d 3.113, I 96; d 3.045, I 100; d 2.988, I 46; d 2.688, I 97; d 2.604, I 68; d 2.590, I 76; d 1.686, I 46; d 1.471, I 56

Crystal structure
a b c (Å): 6.884 6.884 5.391
angles (deg): 101.63 101.63 86.32
Sites, in units of the cell vectors:
Zn 0.250 0.750 0.750
Zn 0.750 0.250 0.250
Fe 0.097 0.903 0.250
Fe 0.903 0.097 0.750
Ge 0.212 0.389 0.245
Ge 0.389 0.212 0.745
Ge 0.611 0.788 0.255
Ge 0.788 0.611 0.755
O 0.030 0.203 0.147
O 0.142 0.628 0.391
O 0.203 0.030 0.647
O 0.299 0.416 0.961
O 0.372 0.858 0.109
O 0.416 0.299 0.461
O 0.584 0.701 0.539
O 0.628 0.142 0.891
O 0.701 0.584 0.039
O 0.797 0.970 0.353
O 0.858 0.372 0.609
O 0.970 0.797 0.853

***

(2)
# K2NaNb2Fe7Si8H4O31
Theoretical powder diffractogram, Cu Ka. Input: a DFT-relaxed cell (PBE+U, the Materials Project).

Most intense lines, 2θ from 10° to 90°, low angle first:
d 3.573, I 100; d 3.316, I 30; d 2.846, I 52; d 2.815, I 58; d 2.714, I 55; d 2.680, I 32; d 2.643, I 52; d 2.606, I 46; d 2.533, I 39; d 1.687, I 33

Crystal structure
a b c (Å): 5.505 11.845 12.101
angles (deg): 112.85 102.65 94.79
Sites, in units of the cell vectors:
K 0.127 0.491 0.258
K 0.873 0.509 0.742
Na 0.500 0.500 0.000
Nb 0.070 0.684 0.083
Nb 0.930 0.316 0.917
Fe 0.000 0.000 0.500
Fe 0.143 0.023 0.795
Fe 0.275 0.985 0.068
Fe 0.417 0.981 0.348
Fe 0.583 0.019 0.652
Fe 0.725 0.015 0.932
Fe 0.857 0.977 0.205
Si 0.180 0.241 0.447
Si 0.324 0.266 0.720
Si 0.379 0.764 0.678
Si 0.492 0.257 0.067
Si 0.508 0.743 0.933
Si 0.621 0.236 0.322
Si 0.676 0.734 0.280
Si 0.820 0.759 0.553
H 0.039 0.178 0.153
H 0.259 0.814 0.422
H 0.741 0.186 0.578
H 0.961 0.822 0.847
O 0.000 0.500 0.000
O 0.014 0.912 0.887
O 0.080 0.705 0.593
O 0.122 0.090 0.389
O 0.137 0.333 0.803
O 0.145 0.877 0.164
O 0.254 0.325 0.046
O 0.263 0.304 0.600
O 0.269 0.677 0.960
O 0.270 0.115 0.678
O 0.304 0.905 0.465
O 0.384 0.669 0.204
O 0.419 0.292 0.405
O 0.419 0.705 0.781
O 0.424 0.106 0.983
O 0.434 0.916 0.743
O 0.566 0.084 0.257
O 0.576 0.894 0.017
O 0.581 0.295 0.219
O 0.581 0.708 0.595
O 0.616 0.331 0.796
O 0.696 0.095 0.535
O 0.730 0.885 0.322
O 0.731 0.323 0.040
O 0.737 0.696 0.400
O 0.746 0.675 0.954
O 0.855 0.123 0.836
O 0.863 0.667 0.197
O 0.878 0.910 0.611
O 0.920 0.295 0.407
O 0.986 0.088 0.113

***

(3)
# KFeP4H4O14
Theoretical powder diffractogram, Cu Ka. Input: a DFT-relaxed cell (PBE+U, the Materials Project).

Most intense lines, 2θ from 10° to 90°, low angle first:
d 7.867, I 22; d 7.280, I 61; d 5.702, I 36; d 3.980, I 100; d 3.354, I 73; d 3.210, I 68; d 3.159, I 54; d 2.930, I 19; d 2.202, I 13; d 1.918, I 19

Crystal structure
a b c (Å): 5.121 7.674 7.998
angles (deg): 81.08 82.33 72.91
Sites, in units of the cell vectors:
K 0.000 0.000 0.000
Fe 0.000 0.500 0.000
P 0.316 0.231 0.319
P 0.404 0.602 0.232
P 0.596 0.398 0.768
P 0.684 0.769 0.681
H 0.106 0.776 0.418
H 0.317 0.999 0.617
H 0.683 0.001 0.383
H 0.894 0.224 0.582
O 0.169 0.269 0.158
O 0.174 0.161 0.483
O 0.234 0.633 0.081
O 0.289 0.762 0.344
O 0.295 0.414 0.814
O 0.365 0.421 0.353
O 0.390 0.904 0.717
O 0.610 0.096 0.283
O 0.635 0.579 0.647
O 0.705 0.586 0.186
O 0.711 0.238 0.656
O 0.766 0.367 0.919
O 0.826 0.839 0.517
O 0.831 0.731 0.842

***

(4)
# KFeP4H4O12
Theoretical powder diffractogram, Cu Ka. Input: a DFT-relaxed cell (PBE+U, the Materials Project).

Most intense lines, 2θ from 10° to 90°, low angle first:
d 8.202, I 100; d 6.887, I 29; d 5.293, I 45; d 3.966, I 63; d 3.720, I 43; d 3.608, I 67; d 3.103, I 32; d 2.940, I 33; d 2.835, I 46; d 2.529, I 25

Crystal structure
a b c (Å): 5.316 7.588 16.477
angles (deg): 90.00 95.41 90.00
Sites, in units of the cell vectors:
K 0.000 0.000 0.000
K 0.000 0.500 0.500
Fe 0.000 0.000 0.500
Fe 0.000 0.500 0.000
P 0.099 0.212 0.679
P 0.099 0.288 0.179
P 0.475 0.211 0.416
P 0.475 0.289 0.916
P 0.525 0.711 0.084
P 0.525 0.789 0.584
P 0.901 0.712 0.821
P 0.901 0.788 0.321
H 0.308 0.106 0.705
H 0.308 0.394 0.205
H 0.407 0.111 0.345
H 0.407 0.389 0.845
H 0.593 0.611 0.155
H 0.593 0.889 0.655
H 0.692 0.606 0.795
H 0.692 0.894 0.295
O 0.036 0.626 0.896
O 0.036 0.874 0.396
O 0.072 0.743 0.751
O 0.072 0.757 0.251
O 0.179 0.094 0.168
O 0.179 0.406 0.668
O 0.250 0.673 0.055
O 0.250 0.827 0.555
O 0.285 0.170 0.479
O 0.285 0.330 0.979
O 0.431 0.089 0.901
O 0.431 0.411 0.401
O 0.569 0.589 0.599
O 0.569 0.911 0.099
O 0.715 0.670 0.021
O 0.715 0.830 0.521
O 0.750 0.173 0.445
O 0.750 0.327 0.945
O 0.821 0.594 0.332
O 0.821 0.906 0.832
O 0.928 0.243 0.749
O 0.928 0.257 0.249
O 0.964 0.126 0.604
O 0.964 0.374 0.104